Record 1
Diffraction record for Dy8Ho3In2. The X-ray diffraction stick pattern is theoretical, not measured: it uses a crystal structure in Alexandria, relaxed with PBE and Cu Kα (weighted mean of Kα1 and Kα2).

Most intense lines, 10 to 90 degrees two-theta, low angle first:
2theta  Rel. int.
29.2  23
31.6  16
31.9  100
32.1  76
35.3  40
35.6  34
40.4  15
51.0  26
61.2  16
61.4  26

Cell lengths 7.876, 5.086, 10.300 Å; angles 90.00, 103.48, 90.00 degrees
Element x y z (fractional)
Dy 0.049 0.000 0.339
Dy 0.136 0.500 0.891
Dy 0.338 0.500 0.263
Dy 0.396 0.000 0.817
Dy 0.604 0.000 0.183
Dy 0.662 0.500 0.737
Dy 0.864 0.500 0.109
Dy 0.951 0.000 0.661
Ho 0.222 0.500 0.575
Ho 0.500 0.000 0.500
Ho 0.778 0.500 0.425
In 0.187 0.000 0.074
In 0.813 0.000 0.926



Record 2
Diffraction record for KZnH5S2O10. The X-ray diffraction stick pattern is theoretical, not measured: it uses a crystal structure in Alexandria, relaxed with PBE and Cu Kα (weighted mean of Kα1 and Kα2).

Most intense lines, 10 to 90 degrees two-theta, low angle first:
2theta  Rel. int.
11.1  40
16.7  77
23.8  29
24.2  26
25.9  27
27.0  100
30.6  25
31.8  27
32.8  19
40.1  23

Cell lengths 4.660, 5.900, 8.310 Å; angles 103.63, 98.01, 96.99 degrees
Element x y z (fractional)
K 0.000 0.000 0.000
Zn 0.981 0.004 0.511
H 0.012 0.660 0.674
H 0.326 0.711 0.621
H 0.470 0.524 0.018
H 0.619 0.275 0.404
H 0.920 0.330 0.339
S 0.354 0.678 0.266
S 0.590 0.314 0.750
O 0.155 0.782 0.649
O 0.180 0.872 0.297
O 0.181 0.442 0.234
O 0.347 0.278 0.604
O 0.466 0.695 0.100
O 0.472 0.301 0.907
O 0.609 0.713 0.402
O 0.767 0.550 0.776
O 0.771 0.121 0.716
O 0.784 0.205 0.364



Record 3
Diffraction record for Cs3InI3. The X-ray diffraction stick pattern is theoretical, not measured: it uses a crystal structure in Alexandria, relaxed with PBE and Cu Kα (weighted mean of Kα1 and Kα2).

Most intense lines, 10 to 90 degrees two-theta, low angle first:
2theta  Rel. int.
20.8  31
22.1  51
25.0  100
25.5  35
25.7  48
28.7  37
31.1  24
34.3  26
36.2  37
50.6  30

Cell lengths 9.227, 9.227, 10.662 Å; angles 96.52, 96.52, 107.75 degrees
Element x y z (fractional)
Cs 0.157 0.843 0.000
Cs 0.182 0.818 0.500
Cs 0.402 0.402 0.295
Cs 0.598 0.598 0.705
Cs 0.818 0.182 0.500
Cs 0.843 0.157 0.000
In 0.345 0.345 0.948
In 0.655 0.655 0.052
I 0.068 0.068 0.287
I 0.179 0.509 0.739
I 0.491 0.821 0.261
I 0.509 0.179 0.739
I 0.821 0.491 0.261
I 0.932 0.932 0.713



Record 4
Diffraction record for NpCdGa2O8. The X-ray diffraction stick pattern is theoretical, not measured: it uses a crystal structure in Alexandria, relaxed with PBE and Cu Kα (weighted mean of Kα1 and Kα2).

Most intense lines, 10 to 90 degrees two-theta, low angle first:
2theta  Rel. int.
18.2  39
23.1  20
25.7  64
26.1  65
33.8  100
37.0  30
38.5  17
50.7  43
51.2  44
64.6  25

Cell lengths 4.864, 4.864, 6.326 Å; angles 90.00, 90.00, 91.01 degrees
Element x y z (fractional)
Np 0.000 0.000 0.000
Cd 0.000 0.000 0.500
Ga 0.500 0.500 0.253
Ga 0.500 0.500 0.747
O 0.206 0.794 0.220
O 0.206 0.794 0.780
O 0.310 0.310 0.000
O 0.325 0.325 0.500
O 0.675 0.675 0.500
O 0.690 0.690 0.000
O 0.794 0.206 0.220
O 0.794 0.206 0.780



Record 5
Diffraction record for Th2Ni5Ge3. The X-ray diffraction stick pattern is theoretical, not measured: it uses a crystal structure in Alexandria, relaxed with PBE and Cu Kα (weighted mean of Kα1 and Kα2).

Most intense lines, 10 to 90 degrees two-theta, low angle first:
2theta  Rel. int.
24.2  20
25.6  10
34.6  18
36.2  100
39.2  25
39.7  15
43.8  21
60.3  14
69.1  11
75.5  15

Cell lengths 12.391, 12.391, 6.726 Å; angles 90.00, 90.00, 160.80 degrees
Element x y z (fractional)
Th 0.020 0.980 0.500
Th 0.324 0.676 0.506
Th 0.676 0.324 0.006
Th 0.980 0.020 0.000
Ni 0.091 0.909 0.088
Ni 0.212 0.788 0.673
Ni 0.226 0.774 0.278
Ni 0.379 0.621 0.037
Ni 0.446 0.554 0.331
Ni 0.554 0.446 0.831
Ni 0.621 0.379 0.537
Ni 0.774 0.226 0.778
Ni 0.788 0.212 0.173
Ni 0.909 0.091 0.588
Ge 0.117 0.883 0.751
Ge 0.279 0.721 0.971
Ge 0.440 0.560 0.717
Ge 0.560 0.440 0.217
Ge 0.721 0.279 0.471
Ge 0.883 0.117 0.251



Record 6
Diffraction record for Ca6Se7. The X-ray diffraction stick pattern is theoretical, not measured: it uses a crystal structure in Alexandria, relaxed with PBE and Cu Kα (weighted mean of Kα1 and Kα2).

Most intense lines, 10 to 90 degrees two-theta, low angle first:
2theta  Rel. int.
14.9  37
16.4  44
22.4  48
32.1  34
32.8  47
33.1  34
37.3  100
38.6  54
48.8  24
58.4  32

Cell lengths 12.450, 12.450, 12.450 Å; angles 29.42, 29.42, 29.42 degrees
Element x y z (fractional)
Ca 0.061 0.061 0.061
Ca 0.209 0.209 0.209
Ca 0.333 0.333 0.333
Ca 0.667 0.667 0.667
Ca 0.791 0.791 0.791
Ca 0.939 0.939 0.939
Se 0.069 0.561 0.561
Se 0.439 0.439 0.931
Se 0.439 0.931 0.439
Se 0.500 0.500 0.500
Se 0.561 0.069 0.561
Se 0.561 0.561 0.069
Se 0.931 0.439 0.439



Record 7
Diffraction record for LiPr2Se4. The X-ray diffraction stick pattern is theoretical, not measured: it uses a crystal structure in Alexandria, relaxed with PBE and Cu Kα (weighted mean of Kα1 and Kα2).

Most intense lines, 10 to 90 degrees two-theta, low angle first:
2theta  Rel. int.
20.0  46
28.3  100
32.4  59
33.6  31
38.1  58
40.6  19
41.7  32
42.0  27
42.1  28
71.9  15

Cell lengths 7.282, 5.780, 8.583 Å; angles 90.00, 107.24, 90.00 degrees
Element x y z (fractional)
Li 0.228 0.250 0.182
Li 0.772 0.750 0.818
Pr 0.230 0.750 0.436
Pr 0.243 0.750 0.933
Pr 0.757 0.250 0.067
Pr 0.770 0.250 0.564
Se 0.066 0.250 0.891
Se 0.069 0.250 0.393
Se 0.488 0.008 0.745
Se 0.488 0.492 0.745
Se 0.512 0.508 0.255
Se 0.512 0.992 0.255
Se 0.931 0.750 0.607
Se 0.934 0.750 0.109



Record 8
Diffraction record for Tl4NiBr6. The X-ray diffraction stick pattern is theoretical, not measured: it uses a crystal structure in Alexandria, relaxed with PBE and Cu Kα (weighted mean of Kα1 and Kα2).

Most intense lines, 10 to 90 degrees two-theta, low angle first:
2theta  Rel. int.
13.7  10
18.6  18
22.6  25
29.4  100
32.1  33
37.4  18
37.8  18
46.6  11
50.4  18
63.1  12

Cell lengths 8.808, 8.808, 9.530 Å; angles 90.00, 90.00, 90.00 degrees
Element x y z (fractional)
Tl 0.154 0.346 0.250
Tl 0.154 0.346 0.750
Tl 0.346 0.846 0.250
Tl 0.346 0.846 0.750
Tl 0.654 0.154 0.250
Tl 0.654 0.154 0.750
Tl 0.846 0.654 0.250
Tl 0.846 0.654 0.750
Ni 0.000 0.000 0.000
Ni 0.500 0.500 0.500
Br 0.000 0.000 0.266
Br 0.000 0.000 0.734
Br 0.124 0.726 0.000
Br 0.226 0.624 0.500
Br 0.274 0.124 0.000
Br 0.376 0.226 0.500
Br 0.500 0.500 0.234
Br 0.500 0.500 0.766
Br 0.624 0.774 0.500
Br 0.726 0.876 0.000
Br 0.774 0.376 0.500
Br 0.876 0.274 0.000